(1)
Structure and calculated powder diffraction line list of Nb2TcB6 (a DFT-relaxed cell (PBE, Alexandria); λ = 1.5418 Å (Cu Kα)).
Neutral-atom scattering factors, no anomalous dispersion.

The 10 most intense peaks (10 to 90 degrees two-theta), in order of rising 2θ:
Position (°2θ), I/Imax
26.39, 37
33.78, 74
43.36, 100
54.32, 9
60.42, 20
65.52, 21
67.08, 17
71.05, 8
77.26, 17
85.59, 15

Crystal structure
Unit cell a=5.3070 b=5.3070 c=3.3776 alpha=90.00 beta=90.00 gamma=120.00
Fractional coordinates of all 9 atoms:
Nb (0.3333, 0.6667, 0.0000)
Nb (0.6667, 0.3333, 0.0000)
Tc (0.0000, 0.0000, 0.0000)
B (0.0000, 0.3304, 0.5000)
B (0.0000, 0.6696, 0.5000)
B (0.3304, 0.0000, 0.5000)
B (0.3304, 0.3304, 0.5000)
B (0.6696, 0.0000, 0.5000)
B (0.6696, 0.6696, 0.5000)

(2)
Structure and calculated powder diffraction line list of Ca3Cd2Au3 (a DFT-relaxed cell (PBE, Alexandria); λ = 1.5418 Å (Cu Kα)).
Neutral-atom scattering factors, no anomalous dispersion.

The 10 most intense peaks (10 to 90 degrees two-theta), in order of rising 2θ:
Position (°2θ), I/Imax
11.58, 67
25.12, 100
34.52, 50
35.24, 94
36.39, 91
38.32, 22
45.43, 35
51.56, 21
66.66, 22
73.68, 21

Crystal structure
Unit cell a=8.8211 b=8.8211 c=5.9579 alpha=90.00 beta=90.00 gamma=120.00
Fractional coordinates of all 16 atoms:
Ca (0.0000, 0.2800, 0.2500)
Ca (0.0000, 0.7200, 0.7500)
Ca (0.2800, 0.0000, 0.2500)
Ca (0.2800, 0.2800, 0.7500)
Ca (0.7200, 0.0000, 0.7500)
Ca (0.7200, 0.7200, 0.2500)
Cd (0.3333, 0.6667, 0.0000)
Cd (0.3333, 0.6667, 0.5000)
Cd (0.6667, 0.3333, 0.0000)
Cd (0.6667, 0.3333, 0.5000)
Au (0.0000, 0.3795, 0.7500)
Au (0.0000, 0.6205, 0.2500)
Au (0.3795, 0.0000, 0.7500)
Au (0.3795, 0.3795, 0.2500)
Au (0.6205, 0.0000, 0.2500)
Au (0.6205, 0.6205, 0.7500)

(3)
Structure and calculated powder diffraction line list of Y4Ga2Ag (a DFT-relaxed cell (PBE, Alexandria); λ = 1.5418 Å (Cu Kα)).
Neutral-atom scattering factors, no anomalous dispersion.

The 10 most intense peaks (10 to 90 degrees two-theta), in order of rising 2θ:
Position (°2θ), I/Imax
10.80, 12
20.58, 12
35.46, 100
35.69, 96
51.19, 33
63.66, 17
63.82, 33
64.28, 15
85.97, 14
86.38, 13

Crystal structure
Unit cell a=8.6951 b=8.6951 c=8.6951 alpha=33.85 beta=33.85 gamma=33.85
Fractional coordinates of all 7 atoms:
Y (0.1206, 0.1206, 0.1206)
Y (0.3717, 0.3717, 0.3717)
Y (0.6283, 0.6283, 0.6283)
Y (0.8794, 0.8794, 0.8794)
Ga (0.2505, 0.2505, 0.2505)
Ga (0.7495, 0.7495, 0.7495)
Ag (0.5000, 0.5000, 0.5000)